# Hf8MnTe6
Calculated powder diffractogram, Cu Kα, 1.54184 Å. Input: a structure optimized by DFT (GGA-PBE).
Neutral-atom scattering factors, no anomalous dispersion.

Main lines, sorted by position (15° ≤ 2θ ≤ 90°):
2θ (°)  Rel. int.  (hkl)
31.6  1000  1 5 1
34.0  218  1 7 0
35.0  311  1 3 2
35.2  230  0 1 3
37.7  674  1 5 2
48.7  342  2 0 0

a = 3.7390 Å, b = 26.1051 Å, c = 7.6945 Å
α = 90.00°, β = 90.00°, γ = 90.00°
Positions (direct):
Hf (0.2500, 0.0514, 0.0608)
Hf (0.2500, 0.1828, 0.2628)
Hf (0.2500, 0.2500, 0.9296)
Hf (0.2500, 0.3172, 0.2628)
Hf (0.2500, 0.4486, 0.0608)
Hf (0.2500, 0.6508, 0.0539)
Hf (0.2500, 0.7500, 0.4622)
Hf (0.2500, 0.8492, 0.0539)
Hf (0.7500, 0.1508, 0.9461)
Hf (0.7500, 0.2500, 0.5378)
Hf (0.7500, 0.3492, 0.9461)
Hf (0.7500, 0.5514, 0.9392)
Hf (0.7500, 0.6828, 0.7372)
Hf (0.7500, 0.7500, 0.0704)
Hf (0.7500, 0.8172, 0.7372)
Hf (0.7500, 0.9486, 0.9392)
Mn (0.2500, 0.7500, 0.8148)
Mn (0.7500, 0.2500, 0.1852)
Te (0.2500, 0.1686, 0.6516)
Te (0.2500, 0.3314, 0.6516)
Te (0.2500, 0.5482, 0.2203)
Te (0.2500, 0.5940, 0.6981)
Te (0.2500, 0.9060, 0.6981)
Te (0.2500, 0.9518, 0.2203)
Te (0.7500, 0.0482, 0.7797)
Te (0.7500, 0.0940, 0.3019)
Te (0.7500, 0.4060, 0.3019)
Te (0.7500, 0.4518, 0.7797)
Te (0.7500, 0.6686, 0.3484)
Te (0.7500, 0.8314, 0.3484)